Starting from a structure optimized by DFT (PBE), the X-ray powder pattern of Cs2CuOsF6 was computed for Cu Ka.

Crystal structure
```
Cs2CuOsF6
1.0
0.0000 4.2056 4.2056
4.2056 0.0000 4.2056
4.2056 4.2056 0.0000
Cs Cu Os F
2 1 1 6
Direct
0.2500 0.2500 0.2500
0.7500 0.7500 0.7500
0.0000 0.0000 0.0000
0.5000 0.5000 0.5000
0.2556 0.2556 0.7444
0.2556 0.7444 0.2556
0.2556 0.7444 0.7444
0.7444 0.2556 0.2556
0.7444 0.2556 0.7444
0.7444 0.7444 0.2556
```

Main lines, sorted by position (5° ≤ 2θ ≤ 70°):
2theta  intensity
18.27  14.1
30.05  100.0
35.39  7.6
43.01  32.6
53.36  40.4
62.46  20.3

---

Starting from a structure optimized by DFT (PBE), the X-ray powder pattern of Zr4Tc3 was computed for Cu Ka.

Crystal structure
```
Zr4Tc3
1.0
7.1552 0.0000 0.0000
0.0000 4.8153 0.0000
-2.8210 0.0000 7.5312
Zr Tc
8 6
Direct
0.0898 0.2500 0.0957
0.0984 0.7500 0.6292
0.2007 0.7500 0.3031
0.3648 0.2500 0.5474
0.6352 0.7500 0.4526
0.7993 0.2500 0.6969
0.9016 0.2500 0.3708
0.9102 0.7500 0.9043
0.2311 0.2500 0.8321
0.3741 0.7500 0.0364
0.4989 0.7500 0.7626
0.5011 0.2500 0.2374
0.6259 0.2500 0.9636
0.7689 0.7500 0.1679
```

Main lines, sorted by position (5° ≤ 2θ ≤ 70°):
2theta  intensity
37.35  56.0
37.92  100.0
38.44  98.2
39.01  46.4
55.11  33.1
68.09  18.0

---

Starting from a structure optimized by DFT (PBE), the X-ray powder pattern of SmAuSe2 was computed for Cu Ka.

Crystal structure
```
SmAuSe2
1.0
6.3808 0.0000 0.0000
0.0000 7.4210 0.0000
-0.1793 0.0000 7.9685
Sm Au Se
4 4 8
Direct
0.1755 0.0376 0.2539
0.1755 0.4624 0.7539
0.8245 0.5376 0.2461
0.8245 0.9624 0.7461
0.4939 0.7446 0.4986
0.4939 0.7554 0.9986
0.5061 0.2446 0.0014
0.5061 0.2554 0.5014
0.0705 0.7479 0.5004
0.0705 0.7521 0.0004
0.3706 0.0781 0.7461
0.3706 0.4219 0.2461
0.6294 0.5781 0.7539
0.6294 0.9219 0.2539
0.9295 0.2479 0.9996
0.9295 0.2521 0.4996
```

Main lines, sorted by position (5° ≤ 2θ ≤ 70°):
2theta  intensity
13.88  22.3
32.99  100.0
35.67  25.0
36.48  22.7
37.17  38.0
45.56  35.2

---

Starting from a structure optimized by DFT (PBE), the X-ray powder pattern of Nd3AlICl2 was computed for Cu Ka.

Crystal structure
```
Nd3AlICl2
1.0
6.1077 0.0000 0.0000
0.0000 6.1077 0.0000
0.0000 0.0000 5.8548
Nd Al I Cl
3 1 1 2
Direct
0.0000 0.0000 0.0000
0.0000 0.5000 0.5000
0.5000 0.0000 0.5000
0.0000 0.0000 0.5000
0.5000 0.5000 0.5000
0.0000 0.5000 0.0000
0.5000 0.0000 0.0000
```

Main lines, sorted by position (5° ≤ 2θ ≤ 70°):
2theta  intensity
21.02  61.2
29.24  100.0
30.54  44.6
41.83  37.1
42.79  69.5
52.67  37.4

---

Starting from a structure optimized by DFT (PBE), the X-ray powder pattern of Tb2NdGe7 was computed for Cu Ka.

Crystal structure
```
Tb2NdGe7
1.0
2.0114 -12.7457 0.0000
2.0114 12.7457 0.0000
0.0000 0.0000 4.1579
Tb Nd Ge
2 1 7
Direct
0.1862 0.8138 0.0000
0.8138 0.1862 0.0000
0.5000 0.5000 0.5000
0.0000 0.0000 0.0000
0.0967 0.9033 0.5000
0.2828 0.7172 0.5000
0.4054 0.5946 0.0000
0.5946 0.4054 0.0000
0.7172 0.2828 0.5000
0.9033 0.0967 0.5000
```

Main lines, sorted by position (5° ≤ 2θ ≤ 70°):
2theta  intensity
24.48  11.9
35.21  18.3
35.70  100.0
43.53  16.0
45.09  17.9
64.47  12.2

---

Starting from a structure optimized by DFT (PBE), the X-ray powder pattern of Pr3Sn7 was computed for Cu Ka.

Crystal structure
```
Pr3Sn7
1.0
2.2915 -13.0714 0.0000
2.2915 13.0714 0.0000
0.0000 0.0000 4.6645
Pr Sn
3 7
Direct
0.0000 0.0000 0.0000
0.1852 0.8148 0.0000
0.8148 0.1852 0.0000
0.0954 0.9046 0.5000
0.2891 0.7109 0.5000
0.4052 0.5948 0.0000
0.5000 0.5000 0.5000
0.5948 0.4052 0.0000
0.7109 0.2891 0.5000
0.9046 0.0954 0.5000
```

Main lines, sorted by position (5° ≤ 2θ ≤ 70°):
2theta  intensity
32.30  100.0
34.30  16.7
38.60  16.8
39.32  16.0
65.90  13.3
66.89  12.8

---

Starting from a structure optimized by DFT (PBE), the X-ray powder pattern of SrCd2Au2 was computed for Cu Ka.

Crystal structure
```
SrCd2Au2
1.0
-3.9065 5.0841 3.3662
3.9065 -5.0841 3.3662
3.9065 5.0841 -3.3662
Sr Cd Au
2 4 4
Direct
0.2500 0.2500 0.0000
0.7500 0.7500 0.0000
0.1098 0.6258 0.7355
0.3902 0.1258 0.5160
0.6098 0.8742 0.4840
0.8902 0.3743 0.2645
0.1536 0.2751 0.4287
0.3464 0.7751 0.1214
0.6536 0.2249 0.8786
0.8464 0.7249 0.5713
```

Main lines, sorted by position (5° ≤ 2θ ≤ 70°):
2theta  intensity
24.73  65.3
26.48  97.4
30.22  60.2
35.19  70.9
41.19  100.0
44.67  59.6

---

Starting from a structure optimized by DFT (PBE), the X-ray powder pattern of Cu5N was computed for Cu Ka.

Crystal structure
```
Cu5N
1.0
4.6336 0.0000 0.0000
-2.3168 4.0129 0.0000
0.0000 0.0000 4.2159
Cu N
5 1
Direct
0.0000 0.5000 0.0000
0.3333 0.6667 0.5000
0.5000 0.0000 0.0000
0.5000 0.5000 0.0000
0.6667 0.3333 0.5000
0.0000 0.0000 0.5000
```

Main lines, sorted by position (5° ≤ 2θ ≤ 70°):
2theta  intensity
22.15  100.0
42.90  48.4
44.63  96.9
45.19  21.9
48.80  24.3
50.37  96.5

---

- What is the formula in the second record?
  Zr4Tc3